The following is a simulated XRD peak list of Tb2DyMgRh4. It was derived from a cell relaxed with GGA-PBE, using Cu Ka.

Structural model:
a = 4.7547 Å, b = 4.7547 Å, c = 23.3361 Å
α = 90.00°, β = 90.00°, γ = 120.00°
Space group R-3m (No. 166, hexagonal axes)
Asymmetric unit:
Tb (0.0000, 0.0000, 0.2447) (multiplicity 6)
Dy (0.0000, 0.0000, 0.0000) (multiplicity 3)
Mg (0.0000, 0.0000, 0.5000) (multiplicity 3)
Rh (0.0000, 0.0000, 0.1245) (multiplicity 6)
Rh (0.0000, 0.0000, 0.3761) (multiplicity 6)

Principal peaks in the range 10 to 80 degrees two-theta, sorted by position:
2theta, I/Imax
11.4, 3
21.9, 5
22.9, 5
28.9, 4
37.8, 100
54.6, 17
68.3, 25
68.3, 9